Starting from DFT lattice parameters and positions (GGA+U), the PXRD pattern of NaTi3FeO8 was computed for CuKα.

Crystal structure
Cell: 6.4927 6.4927 6.5708 Å, 106.53 106.53 34.45°
Atoms (fractional coordinates):
Na: 0.0000 0.0000 0.0000
Ti: 0.4035 0.4035 0.3196
Ti: 0.6070 0.6070 0.7298
Ti: 0.7068 0.7068 0.3222
Fe: 0.3028 0.3028 0.7331
O: 0.1382 0.1382 0.7462
O: 0.2406 0.2406 0.3715
O: 0.3821 0.3821 0.0356
O: 0.4514 0.4514 0.6680
O: 0.5640 0.5640 0.3982
O: 0.6344 0.6344 0.0406
O: 0.7657 0.7657 0.6764
O: 0.8680 0.8680 0.3256

Main lines, in order of falling intensity (5° ≤ 2θ ≤ 70°):
| d (Å) | 2θ (°) | I (rel.) |
| --- | --- | --- |
| 3.657 | 24.34 | 100 |
| 1.923 | 47.27 | 68 |
| 3.136 | 28.46 | 63 |
| 2.091 | 43.27 | 58 |
| 2.067 | 43.80 | 56 |
| 2.740 | 32.68 | 50 |
| 2.754 | 32.51 | 44 |
| 3.050 | 29.28 | 41 |
| 3.040 | 29.38 | 40 |
| 6.273 | 14.12 | 37 |